[1]
For AgSb3Pt12, DFT lattice parameters and positions (PBE) gives the computed powder diffraction line list in this record (Cu Kα X-rays).

Structural model:
Lattice parameters (Å, degrees): 4.063 4.063 16.297 90.00 90.00 90.00
Element x y z (fractional)
Ag 0.000 0.000 0.000
Sb 0.000 0.000 0.235
Sb 0.000 0.000 0.500
Sb 0.000 0.000 0.765
Pt 0.000 0.500 0.123
Pt 0.000 0.500 0.377
Pt 0.000 0.500 0.623
Pt 0.000 0.500 0.877
Pt 0.500 0.000 0.123
Pt 0.500 0.000 0.377
Pt 0.500 0.000 0.623
Pt 0.500 0.000 0.877
Pt 0.500 0.500 0.000
Pt 0.500 0.500 0.256
Pt 0.500 0.500 0.500
Pt 0.500 0.500 0.744

The 8 most intense peaks (2θ from 5° to 70°), sorted by position:
Position (°2θ)	I/Imax
21.9	3
31.1	3
38.3	100
44.5	16
44.6	33
55.3	2
64.8	21
64.9	11

[2]
For Dy9TmTl2, DFT lattice parameters and positions (PBE) gives the computed powder diffraction line list in this record (Cu Kα X-rays).

Structural model:
Lattice parameters (Å, degrees): 4.865 4.865 14.928 90.00 90.00 90.00
Element x y z (fractional)
Dy 0.000 0.000 0.000
Dy 0.000 0.000 0.336
Dy 0.000 0.000 0.664
Dy 0.000 0.500 0.170
Dy 0.000 0.500 0.500
Dy 0.000 0.500 0.830
Dy 0.500 0.000 0.170
Dy 0.500 0.000 0.500
Dy 0.500 0.000 0.830
Tm 0.500 0.500 0.000
Tl 0.500 0.500 0.340
Tl 0.500 0.500 0.660

The 8 most intense peaks (2θ from 5° to 70°), sorted by position:
Position (°2θ)	I/Imax
31.6	100
36.1	17
37.0	33
52.6	24
53.3	12
62.1	14
63.3	28
66.0	12

[3]
For Pa2TiFe9, DFT lattice parameters and positions (PBE) gives the computed powder diffraction line list in this record (Cu Kα X-rays).

Structural model:
Lattice parameters (Å, degrees): 8.799 8.799 8.799 31.30 31.30 31.30
Element x y z (fractional)
Pa 0.141 0.141 0.141
Pa 0.859 0.859 0.859
Ti 0.000 0.000 0.000
Fe 0.079 0.578 0.578
Fe 0.333 0.333 0.333
Fe 0.422 0.422 0.921
Fe 0.422 0.921 0.422
Fe 0.500 0.500 0.500
Fe 0.578 0.079 0.578
Fe 0.578 0.578 0.079
Fe 0.667 0.667 0.667
Fe 0.921 0.422 0.422

The 8 most intense peaks (2θ from 5° to 70°), sorted by position:
Position (°2θ)	I/Imax
10.6	88
25.9	59
33.2	75
36.0	49
37.9	68
43.9	100
44.2	39
45.5	44

[4]
For BiSbPb, DFT lattice parameters and positions (PBE) gives the computed powder diffraction line list in this record (Cu Kα X-rays).

Structural model:
Lattice parameters (Å, degrees): 4.481 4.497 9.784 86.11 86.35 89.06
Element x y z (fractional)
Bi 0.245 0.248 0.456
Bi 0.755 0.752 0.544
Sb 0.322 0.322 0.126
Sb 0.678 0.678 0.874
Pb 0.191 0.190 0.808
Pb 0.809 0.810 0.192

The 8 most intense peaks (2θ from 5° to 70°), sorted by position:
Position (°2θ)	I/Imax
27.5	64
28.0	90
28.3	100
28.7	28
32.9	29
33.1	29
35.2	33
40.2	26

[5]
For Ac3CeBi4, DFT lattice parameters and positions (PBE) gives the computed powder diffraction line list in this record (Cu Kα X-rays).

Structural model:
Lattice parameters (Å, degrees): 6.820 6.820 6.820 90.00 90.00 90.00
Element x y z (fractional)
Ac 0.000 0.000 0.500
Ac 0.000 0.500 0.000
Ac 0.500 0.000 0.000
Ce 0.500 0.500 0.500
Bi 0.000 0.000 0.000
Bi 0.000 0.500 0.500
Bi 0.500 0.000 0.500
Bi 0.500 0.500 0.000

The 8 most intense peaks (2θ from 5° to 70°), sorted by position:
Position (°2θ)	I/Imax
13.0	1
18.4	1
26.1	100
37.3	80
46.1	30
53.8	14
60.7	40
67.3	30

[6]
For K2MnFeCl6, DFT lattice parameters and positions (PBE) gives the computed powder diffraction line list in this record (Cu Kα X-rays).

Structural model:
Lattice parameters (Å, degrees): 6.962 6.965 7.085 119.37 119.41 90.04
Element x y z (fractional)
K 0.250 0.250 0.000
K 0.750 0.750 0.000
Mn 0.000 0.500 0.500
Fe 0.500 0.000 0.500
Cl 0.204 0.198 0.500
Cl 0.252 0.754 0.005
Cl 0.301 0.702 0.499
Cl 0.699 0.298 0.501
Cl 0.748 0.246 0.995
Cl 0.796 0.802 0.500

The 8 most intense peaks (2θ from 5° to 70°), sorted by position:
Position (°2θ)	I/Imax
18.0	43
25.1	52
25.6	47
31.1	59
35.2	72
36.5	100
44.8	42
51.6	65

What did the first record say?
For AgSb3Pt12, DFT lattice parameters and positions (PBE) gives the computed powder diffraction line list in this record (Cu Kα X-rays).

Structural model:
Lattice parameters (Å, degrees): 4.063 4.063 16.297 90.00 90.00 90.00
Element x y z (fractional)
Ag 0.000 0.000 0.000
Sb 0.000 0.000 0.235
Sb 0.000 0.000 0.500
Sb 0.000 0.000 0.765
Pt 0.000 0.500 0.123
Pt 0.000 0.500 0.377
Pt 0.000 0.500 0.623
Pt 0.000 0.500 0.877
Pt 0.500 0.000 0.123
Pt 0.500 0.000 0.377
Pt 0.500 0.000 0.623
Pt 0.500 0.000 0.877
Pt 0.500 0.500 0.000
Pt 0.500 0.500 0.256
Pt 0.500 0.500 0.500
Pt 0.500 0.500 0.744

The 8 most intense peaks (2θ from 5° to 70°), sorted by position:
Position (°2θ)	I/Imax
21.9	3
31.1	3
38.3	100
44.5	16
44.6	33
55.3	2
64.8	21
64.9	11

Please write out number 2 again, unchanged.
For Dy9TmTl2, DFT lattice parameters and positions (PBE) gives the computed powder diffraction line list in this record (Cu Kα X-rays).

Structural model:
Lattice parameters (Å, degrees): 4.865 4.865 14.928 90.00 90.00 90.00
Element x y z (fractional)
Dy 0.000 0.000 0.000
Dy 0.000 0.000 0.336
Dy 0.000 0.000 0.664
Dy 0.000 0.500 0.170
Dy 0.000 0.500 0.500
Dy 0.000 0.500 0.830
Dy 0.500 0.000 0.170
Dy 0.500 0.000 0.500
Dy 0.500 0.000 0.830
Tm 0.500 0.500 0.000
Tl 0.500 0.500 0.340
Tl 0.500 0.500 0.660

The 8 most intense peaks (2θ from 5° to 70°), sorted by position:
Position (°2θ)	I/Imax
31.6	100
36.1	17
37.0	33
52.6	24
53.3	12
62.1	14
63.3	28
66.0	12